1.
Theoretical powder diffraction line list
Compound: Nb3Tc4W
Radiation: a wavelength of 1.5418 Å
Structure: DFT lattice parameters and positions (GGA-PBE)
Peak positions follow from Bragg's law for the DFT cell and can differ from measured ones.

Atomic structure:
Unit cell a=3.1747 b=3.1747 c=12.7388 alpha=90.00 beta=90.00 gamma=90.00
Space group P4/mmm (No. 123)
Unique sites:
Nb (0.0000, 0.0000, 0.0000) (multiplicity 1)
Nb (0.0000, 0.0000, 0.2501) (multiplicity 2)
Tc (0.5000, 0.5000, 0.1264) (multiplicity 2)
Tc (0.5000, 0.5000, 0.3789) (multiplicity 2)
W (0.0000, 0.0000, 0.5000) (multiplicity 1)

Largest 6 diffraction maxima, by intensity, 15° ≤ 2θ ≤ 90°:
two_theta, intensity
40.1, 100
73.0, 22
58.1, 11
72.8, 11
86.6, 7
57.9, 6

2.
Theoretical powder diffraction line list
Compound: K2PmZn2Te4
Radiation: a wavelength of 1.5418 Å
Structure: DFT lattice parameters and positions (GGA-PBE)
Peak positions follow from Bragg's law for the DFT cell and can differ from measured ones.

Atomic structure:
Unit cell a=16.5452 b=4.6407 c=8.4200 alpha=90.00 beta=109.47 gamma=90.00
Space group C2/m (No. 12)
Unique sites:
K (0.1298, 0.0000, 0.0613) (multiplicity 4)
Pm (0.0000, 0.0000, 0.5000) (multiplicity 2)
Zn (0.1739, 0.5000, 0.4920) (multiplicity 4)
Te (0.0164, 0.5000, 0.2534) (multiplicity 4)
Te (0.2053, 0.0000, 0.6792) (multiplicity 4)

Largest 6 diffraction maxima, by intensity, 15° ≤ 2θ ≤ 90°:
two_theta, intensity
28.7, 100
30.3, 49
38.1, 49
38.8, 37
22.0, 32
44.0, 29

3.
Theoretical powder diffraction line list
Compound: Pr5Nd2Y5
Radiation: a wavelength of 1.5418 Å
Structure: DFT lattice parameters and positions (GGA-PBE)
Peak positions follow from Bragg's law for the DFT cell and can differ from measured ones.

Atomic structure:
Unit cell a=15.4708 b=5.1536 c=11.5686 alpha=90.00 beta=116.60 gamma=90.00
Space group C2/m (No. 12)
Unique sites:
Pr (0.0000, 0.0000, 0.0000) (multiplicity 2)
Pr (0.1657, 0.0000, 0.4993) (multiplicity 4)
Pr (0.2498, 0.0000, 0.2484) (multiplicity 4)
Nd (0.0829, 0.0000, 0.7513) (multiplicity 4)
Y (0.0000, 0.5000, 0.5000) (multiplicity 2)
Y (0.0825, 0.5000, 0.2490) (multiplicity 4)
Y (0.1670, 0.5000, 0.0005) (multiplicity 4)

Largest 6 diffraction maxima, by intensity, 15° ≤ 2θ ≤ 90°:
two_theta, intensity
30.0, 100
34.8, 34
59.4, 28
49.9, 18
50.0, 18
34.7, 17

4.
Theoretical powder diffraction line list
Compound: Al2Ga2Ag3
Radiation: a wavelength of 1.5418 Å
Structure: DFT lattice parameters and positions (GGA-PBE)
Peak positions follow from Bragg's law for the DFT cell and can differ from measured ones.

Atomic structure:
Unit cell a=3.8658 b=22.7435 c=2.8592 alpha=90.00 beta=90.00 gamma=90.00
Space group Cmmm (No. 65)
Unique sites:
Al (0.0000, 0.1358, 0.0000) (multiplicity 4)
Ga (0.0000, 0.2944, 0.5000) (multiplicity 4)
Ag (0.0000, 0.0000, 0.0000) (multiplicity 2)
Ag (0.0000, 0.4279, 0.5000) (multiplicity 4)

Largest 6 diffraction maxima, by intensity, 15° ≤ 2θ ≤ 90°:
two_theta, intensity
39.4, 100
36.1, 86
45.0, 33
47.0, 21
67.1, 19
76.9, 18

5.
Theoretical powder diffraction line list
Compound: Pr4Fe3Si4Ru
Radiation: a wavelength of 1.5418 Å
Structure: DFT lattice parameters and positions (GGA-PBE)
Peak positions follow from Bragg's law for the DFT cell and can differ from measured ones.

Atomic structure:
Unit cell a=4.1061 b=4.1061 c=14.1503 alpha=90.00 beta=90.00 gamma=90.00
Space group P-4m2 (No. 115)
Unique sites:
Pr (0.0000, 0.5000, 0.1552) (multiplicity 2)
Pr (0.0000, 0.5000, 0.6616) (multiplicity 2)
Fe (0.0000, 0.0000, 0.0000) (multiplicity 1)
Fe (0.5000, 0.5000, 0.0000) (multiplicity 1)
Fe (0.5000, 0.5000, 0.5000) (multiplicity 1)
Si (0.0000, 0.5000, 0.4153) (multiplicity 2)
Si (0.0000, 0.5000, 0.9209) (multiplicity 2)
Ru (0.0000, 0.0000, 0.5000) (multiplicity 1)

Largest 6 diffraction maxima, by intensity, 15° ≤ 2θ ≤ 90°:
two_theta, intensity
33.4, 100
25.1, 78
40.2, 63
44.1, 44
56.5, 25
51.4, 24

6.
Theoretical powder diffraction line list
Compound: NpH4Pt
Radiation: a wavelength of 1.5418 Å
Structure: DFT lattice parameters and positions (GGA-PBE)
Peak positions follow from Bragg's law for the DFT cell and can differ from measured ones.

Atomic structure:
Unit cell a=3.7190 b=12.0758 c=5.1841 alpha=90.00 beta=90.00 gamma=90.00
Space group Cmcm (No. 63)
Unique sites:
Np (0.0000, 0.1365, 0.2500) (multiplicity 4)
H (0.0000, 0.0917, 0.7500) (multiplicity 4)
H (0.0000, 0.3004, 0.5164) (multiplicity 8)
H (0.0000, 0.5000, 0.0000) (multiplicity 4)
Pt (0.0000, 0.4002, 0.2500) (multiplicity 4)

Largest 6 diffraction maxima, by intensity, 15° ≤ 2θ ≤ 90°:
two_theta, intensity
30.5, 100
37.2, 68
29.6, 46
34.6, 39
46.2, 29
61.4, 18

7.
Theoretical powder diffraction line list
Compound: Ac5Al2Sn
Radiation: a wavelength of 1.5418 Å
Structure: DFT lattice parameters and positions (GGA-PBE)
Peak positions follow from Bragg's law for the DFT cell and can differ from measured ones.

Atomic structure:
Unit cell a=8.5679 b=8.5679 c=15.6422 alpha=90.00 beta=90.00 gamma=90.00
Space group I4/mcm (No. 140)
Unique sites:
Ac (0.0000, 0.0000, 0.0000) (multiplicity 4)
Ac (0.1713, 0.3287, 0.1472) (multiplicity 16)
Al (0.1144, 0.3856, 0.5000) (multiplicity 8)
Sn (0.0000, 0.0000, 0.2500) (multiplicity 4)

Largest 6 diffraction maxima, by intensity, 15° ≤ 2θ ≤ 90°:
two_theta, intensity
28.9, 100
31.0, 59
33.1, 53
47.1, 52
23.9, 48
27.1, 33

8.
Theoretical powder diffraction line list
Compound: Tm6SiPb2
Radiation: a wavelength of 1.5418 Å
Structure: DFT lattice parameters and positions (GGA-PBE)
Peak positions follow from Bragg's law for the DFT cell and can differ from measured ones.

Atomic structure:
Unit cell a=6.2037 b=8.2283 c=11.5756 alpha=90.00 beta=121.11 gamma=90.00
Space group P2_1/c (No. 14)
Unique sites:
Tm (0.0831, 0.1761, 0.4532) (multiplicity 4)
Tm (0.3240, 0.6868, 0.4505) (multiplicity 4)
Tm (0.3881, 0.0347, 0.2657) (multiplicity 4)
Si (0.0000, 0.0000, 0.0000) (multiplicity 2)
Pb (0.1639, 0.1146, 0.7529) (multiplicity 4)

Largest 6 diffraction maxima, by intensity, 15° ≤ 2θ ≤ 90°:
two_theta, intensity
32.3, 100
31.9, 93
36.2, 79
28.2, 75
35.8, 64
31.5, 46

9.
Theoretical powder diffraction line list
Compound: HfZrF3
Radiation: a wavelength of 1.5418 Å
Structure: DFT lattice parameters and positions (GGA-PBE)
Peak positions follow from Bragg's law for the DFT cell and can differ from measured ones.

Atomic structure:
Unit cell a=4.3445 b=4.3445 c=4.3445 alpha=90.00 beta=90.00 gamma=90.00
Space group Pm-3m (No. 221)
Unique sites:
Hf (0.0000, 0.0000, 0.0000) (multiplicity 1)
Zr (0.5000, 0.5000, 0.5000) (multiplicity 1)
F (0.0000, 0.0000, 0.5000) (multiplicity 3)

Largest 6 diffraction maxima, by intensity, 15° ≤ 2θ ≤ 90°:
two_theta, intensity
29.1, 100
51.5, 42
41.6, 33
83.2, 21
60.3, 21
20.4, 20

10.
Theoretical powder diffraction line list
Compound: TlZn2Rh2
Radiation: a wavelength of 1.5418 Å
Structure: DFT lattice parameters and positions (GGA-PBE)
Peak positions follow from Bragg's law for the DFT cell and can differ from measured ones.

Atomic structure:
Unit cell a=7.2521 b=7.2521 c=3.0261 alpha=90.00 beta=90.00 gamma=90.00
Space group P4/mbm (No. 127)
Unique sites:
Tl (0.0000, 0.0000, 0.0000) (multiplicity 2)
Zn (0.1243, 0.3757, 0.0000) (multiplicity 4)
Rh (0.1701, 0.6701, 0.5000) (multiplicity 4)

Largest 6 diffraction maxima, by intensity, 15° ≤ 2θ ≤ 90°:
two_theta, intensity
39.3, 100
40.8, 86
38.8, 74
35.0, 34
34.4, 32
75.2, 29

11.
Theoretical powder diffraction line list
Compound: RbMg14Ti
Radiation: a wavelength of 1.5418 Å
Structure: DFT lattice parameters and positions (GGA-PBE)
Peak positions follow from Bragg's law for the DFT cell and can differ from measured ones.

Atomic structure:
Unit cell a=6.5718 b=6.5718 c=10.4573 alpha=90.00 beta=90.00 gamma=120.00
Space group P-6m2 (No. 187)
Unique sites:
Rb (0.0000, 0.0000, 0.0000) (multiplicity 1)
Mg (0.0113, 0.5056, 0.0000) (multiplicity 3)
Mg (0.1674, 0.3348, 0.2711) (multiplicity 6)
Mg (0.5025, 0.0050, 0.5000) (multiplicity 3)
Mg (0.6667, 0.3333, 0.2439) (multiplicity 2)
Ti (0.0000, 0.0000, 0.5000) (multiplicity 1)

Largest 6 diffraction maxima, by intensity, 15° ≤ 2θ ≤ 90°:
two_theta, intensity
35.9, 100
31.4, 26
34.3, 23
67.3, 18
56.0, 18
62.5, 17

12.
Theoretical powder diffraction line list
Compound: Tl4Sb2As2Au
Radiation: a wavelength of 1.5418 Å
Structure: DFT lattice parameters and positions (GGA-PBE)
Peak positions follow from Bragg's law for the DFT cell and can differ from measured ones.

Atomic structure:
Unit cell a=10.4891 b=8.6854 c=5.9505 alpha=90.00 beta=92.05 gamma=90.00
Space group C2/m (No. 12)
Unique sites:
Tl (0.1598, 0.2504, 0.2431) (multiplicity 8)
Sb (0.0665, 0.0000, 0.7073) (multiplicity 4)
As (0.0972, 0.5000, 0.6174) (multiplicity 4)
Au (0.0000, 0.5000, 0.0000) (multiplicity 2)

Largest 6 diffraction maxima, by intensity, 15° ≤ 2θ ≤ 90°:
two_theta, intensity
31.0, 100
26.7, 59
30.4, 56
41.6, 31
36.6, 29
38.0, 29